Simulated powder XRD pattern
Compound: La5Sm2Dy3
Radiation: Cu Kα (λ = 1.5418 Å)
Structure: the GGA-PBE geometry in Alexandria
Intensities are scaled so that the largest is 100.

Top 10 peaks for 15° ≤ 2θ ≤ 90°, in order of falling intensity:
- 2θ = 30.76°, rel. 100
- 2θ = 28.93°, rel. 94
- 2θ = 32.56°, rel. 48
- 2θ = 61.67°, rel. 30
- 2θ = 35.27°, rel. 26
- 2θ = 59.58°, rel. 24
- 2θ = 48.43°, rel. 22
- 2θ = 31.74°, rel. 21
- 2θ = 33.45°, rel. 19
- 2θ = 56.98°, rel. 17

Cell and atoms:
```
data_La5Sm2Dy3
_chemical_formula_sum 'La20 Sm8 Dy12'
_cell_length_a 11.0001
_cell_length_b 14.9236
_cell_length_c 10.2127
_cell_angle_alpha 90.00
_cell_angle_beta 122.53
_cell_angle_gamma 90.00
_space_group_name_H-M_alt 'C 1 2/c 1'
_space_group_IT_number 15
loop_
_space_group_symop_operation_xyz
'x,y,z'
'-x,-y,-z'
'-x,y,-z+1/2'
'x,-y,z+1/2'
'x+1/2,y+1/2,z'
'-x+1/2,-y+1/2,-z'
'-x+1/2,y+1/2,-z+1/2'
'x+1/2,-y+1/2,z+1/2'
loop_
_atom_site_label
_atom_site_type_symbol
_atom_site_fract_x
_atom_site_fract_y
_atom_site_fract_z
_atom_site_occupancy
La1 La 0.0000 0.0175 0.2500 1
La2 La 0.0000 0.2254 0.2500 1
La3 La 0.0000 0.4754 0.7500 1
La4 La 0.2478 0.3703 0.2468 1
Sm1 Sm 0.1558 0.1289 0.0616 1
Dy1 Dy 0.0000 0.2692 0.7500 1
Dy2 Dy 0.1515 0.3739 0.5566 1
```

***

Simulated powder XRD pattern
Compound: La8SmDy5
Radiation: Cu Kα (λ = 1.5418 Å)
Structure: the GGA-PBE geometry in Alexandria
Intensities are scaled so that the largest is 100.

Top 10 peaks for 15° ≤ 2θ ≤ 90°, in order of falling intensity:
- 2θ = 31.33°, rel. 100
- 2θ = 31.56°, rel. 90
- 2θ = 30.85°, rel. 89
- 2θ = 31.44°, rel. 76
- 2θ = 33.23°, rel. 56
- 2θ = 33.54°, rel. 52
- 2θ = 25.44°, rel. 44
- 2θ = 32.12°, rel. 40
- 2θ = 31.96°, rel. 39
- 2θ = 28.94°, rel. 37

Cell and atoms:
```
data_La8SmDy5
_chemical_formula_sum 'La8 Sm1 Dy5'
_cell_length_a 8.6646
_cell_length_b 8.7307
_cell_length_c 8.7386
_cell_angle_alpha 112.94
_cell_angle_beta 98.30
_cell_angle_gamma 117.07
_space_group_name_H-M_alt 'P 1'
_space_group_IT_number 1
loop_
_space_group_symop_operation_xyz
'x,y,z'
loop_
_atom_site_label
_atom_site_type_symbol
_atom_site_fract_x
_atom_site_fract_y
_atom_site_fract_z
_atom_site_occupancy
La1 La 0.0000 0.0000 0.0000 1
La2 La 0.0170 0.4096 0.8118 1
La3 La 0.1668 0.1339 0.4997 1
La4 La 0.2178 0.5152 0.2941 1
La5 La 0.3391 0.8700 0.1296 1
La6 La 0.4858 0.6529 0.7558 1
La7 La 0.5998 0.4093 0.3763 1
La8 La 0.6324 0.1336 0.9599 1
Sm1 Sm 0.5331 0.1293 0.5912 1
Dy1 Dy 0.1195 0.7814 0.6453 1
Dy2 Dy 0.3982 0.3653 0.9624 1
Dy3 Dy 0.7454 0.8780 0.5309 1
Dy4 Dy 0.8309 0.1780 0.3459 1
Dy5 Dy 0.8870 0.6509 0.1765 1
```

***

Simulated powder XRD pattern
Compound: La3SmDy2
Radiation: Cu Kα (λ = 1.5418 Å)
Structure: the GGA-PBE geometry in Alexandria
Intensities are scaled so that the largest is 100.

Top 10 peaks for 15° ≤ 2θ ≤ 90°, in order of falling intensity:
- 2θ = 31.92°, rel. 100
- 2θ = 28.86°, rel. 41
- 2θ = 28.52°, rel. 40
- 2θ = 30.27°, rel. 37
- 2θ = 33.87°, rel. 36
- 2θ = 56.06°, rel. 21
- 2θ = 50.92°, rel. 19
- 2θ = 38.22°, rel. 18
- 2θ = 59.00°, rel. 16
- 2θ = 61.97°, rel. 12

Cell and atoms:
```
data_La3SmDy2
_chemical_formula_sum 'La12 Sm4 Dy8'
_cell_length_a 7.2640
_cell_length_b 17.7143
_cell_length_c 6.6018
_cell_angle_alpha 90.00
_cell_angle_beta 90.00
_cell_angle_gamma 90.00
_space_group_name_H-M_alt 'I m m a'
_space_group_IT_number 74
_space_group_name_Hall '-I 2b 2'
loop_
_atom_site_label
_atom_site_type_symbol
_atom_site_fract_x
_atom_site_fract_y
_atom_site_fract_z
_atom_site_occupancy
La1 La 0.0000 0.0709 0.2424 1
La2 La 0.0000 0.2500 0.4759 1
Sm1 Sm 0.0000 0.2500 0.9780 1
Dy1 Dy 0.2500 0.1041 0.7500 1
```